# CaCrP2O7
Computed powder diffractogram, Cu Kα (weighted mean of Kα1 and Kα2). Input: a DFT-relaxed cell (PBE+U, the Materials Project).
Kinematic intensities with the Lorentz-polarization factor, no thermal factor.

Cell and atoms:
abc: 7.457 9.037 9.301
angles: 90.00 117.17 90.00
Element x y z (fractional)
Ca 0.223 0.046 0.363
Ca 0.223 0.454 0.863
Ca 0.777 0.546 0.137
Ca 0.777 0.954 0.637
Cr 0.276 0.077 0.895
Cr 0.276 0.423 0.395
Cr 0.724 0.577 0.605
Cr 0.724 0.923 0.105
P 0.017 0.740 0.963
P 0.017 0.760 0.463
P 0.439 0.721 0.260
P 0.439 0.779 0.760
P 0.561 0.221 0.240
P 0.561 0.279 0.740
P 0.983 0.240 0.537
P 0.983 0.260 0.037
O 0.042 0.105 0.653
O 0.042 0.395 0.153
O 0.046 0.617 0.391
O 0.046 0.883 0.891
O 0.119 0.243 0.954
O 0.119 0.257 0.454
O 0.232 0.678 0.101
O 0.232 0.822 0.601
O 0.403 0.223 0.301
O 0.403 0.277 0.801
O 0.416 0.635 0.834
O 0.416 0.865 0.334
O 0.469 0.586 0.373
O 0.469 0.914 0.873
O 0.531 0.086 0.127
O 0.531 0.414 0.627
O 0.584 0.135 0.666
O 0.584 0.365 0.166
O 0.597 0.723 0.199
O 0.597 0.777 0.699
O 0.768 0.178 0.399
O 0.768 0.322 0.899
O 0.881 0.743 0.546
O 0.881 0.757 0.046
O 0.954 0.117 0.109
O 0.954 0.383 0.609
O 0.958 0.605 0.847
O 0.958 0.895 0.347

Principal peaks in the range 2θ = 10–90°, by angle:
- 3.789 Å, 23.5°, I 10
- 3.245 Å, 27.5°, I 58
- 3.213 Å, 27.8°, I 100
- 2.956 Å, 30.2°, I 69
- 2.743 Å, 32.6°, I 18
- 2.674 Å, 33.5°, I 29
- 2.277 Å, 39.6°, I 27
- 1.881 Å, 48.4°, I 14
- 1.738 Å, 52.7°, I 11
- 1.693 Å, 54.2°, I 18


# Li4Ti3Nb2Cr3O16
Computed powder diffractogram, Cu Kα (weighted mean of Kα1 and Kα2). Input: a DFT-relaxed cell (PBE+U, the Materials Project).
Kinematic intensities with the Lorentz-polarization factor, no thermal factor.

Cell and atoms:
abc: 5.998 5.998 9.745
angles: 90.56 90.56 59.82
Element x y z (fractional)
Li 0.000 0.000 0.000
Li 0.001 0.001 0.497
Li 0.335 0.335 0.094
Li 0.667 0.667 0.590
Ti 0.164 0.658 0.773
Ti 0.658 0.164 0.773
Ti 0.829 0.829 0.271
Nb 0.333 0.333 0.499
Nb 0.661 0.661 0.001
Cr 0.168 0.168 0.781
Cr 0.339 0.829 0.279
Cr 0.829 0.339 0.279
O 0.038 0.486 0.654
O 0.161 0.670 0.395
O 0.167 0.167 0.398
O 0.329 0.829 0.898
O 0.338 0.338 0.884
O 0.482 0.482 0.652
O 0.486 0.038 0.654
O 0.520 0.520 0.152
O 0.524 0.962 0.153
O 0.670 0.161 0.395
O 0.673 0.673 0.385
O 0.829 0.329 0.898
O 0.835 0.835 0.892
O 0.962 0.524 0.153
O 0.996 0.996 0.185
O 0.998 0.998 0.683

Principal peaks in the range 2θ = 10–90°, by angle:
- 4.872 Å, 18.2°, I 27
- 4.595 Å, 19.3°, I 94
- 4.566 Å, 19.4°, I 100
- 3.539 Å, 25.2°, I 25
- 2.744 Å, 32.6°, I 36
- 2.565 Å, 35.0°, I 34
- 2.546 Å, 35.3°, I 67
- 2.507 Å, 35.8°, I 29
- 2.020 Å, 44.9°, I 32
- 1.499 Å, 61.9°, I 36


# Li5Co2Cu5O12
Computed powder diffractogram, Cu Kα (weighted mean of Kα1 and Kα2). Input: a DFT-relaxed cell (PBE+U, the Materials Project).
Kinematic intensities with the Lorentz-polarization factor, no thermal factor.

Cell and atoms:
abc: 4.996 4.996 9.522
angles: 91.75 91.75 115.33
Element x y z (fractional)
Li 0.000 0.000 0.000
Li 0.250 0.257 0.758
Li 0.409 0.068 0.245
Li 0.743 0.750 0.242
Li 0.932 0.591 0.755
Co 0.330 0.670 0.000
Co 0.834 0.166 0.500
Cu 0.078 0.406 0.248
Cu 0.164 0.836 0.500
Cu 0.503 0.497 0.500
Cu 0.594 0.922 0.752
Cu 0.666 0.334 0.000
O 0.003 0.350 0.901
O 0.068 0.702 0.130
O 0.092 0.112 0.370
O 0.161 0.492 0.596
O 0.298 0.932 0.870
O 0.384 0.399 0.122
O 0.508 0.839 0.404
O 0.566 0.217 0.626
O 0.601 0.616 0.878
O 0.650 0.997 0.099
O 0.783 0.434 0.374
O 0.888 0.908 0.630

Principal peaks in the range 2θ = 10–90°, by angle:
- 4.753 Å, 18.7°, I 47
- 4.221 Å, 21.0°, I 25
- 4.001 Å, 22.2°, I 47
- 2.392 Å, 37.6°, I 38
- 2.386 Å, 37.7°, I 18
- 2.377 Å, 37.9°, I 19
- 2.272 Å, 39.7°, I 72
- 1.983 Å, 45.7°, I 100
- 1.496 Å, 62.0°, I 33
- 1.492 Å, 62.2°, I 35


# Li9Mn2Co5O16
Computed powder diffractogram, Cu Kα (weighted mean of Kα1 and Kα2). Input: a DFT-relaxed cell (PBE+U, the Materials Project).
Kinematic intensities with the Lorentz-polarization factor, no thermal factor.

Cell and atoms:
abc: 2.959 5.050 19.245
angles: 93.39 91.09 91.23
Element x y z (fractional)
Li 0.000 0.000 0.000
Li 0.000 0.226 0.761
Li 0.001 0.494 0.506
Li 0.005 0.737 0.252
Li 0.491 0.743 0.763
Li 0.499 0.988 0.504
Li 0.501 0.238 0.251
Li 0.503 0.113 0.880
Li 0.515 0.490 0.001
Mn 0.501 0.362 0.632
Mn 0.502 0.614 0.379
Co 0.001 0.114 0.378
Co 0.001 0.863 0.632
Co 0.003 0.364 0.128
Co 0.003 0.614 0.881
Co 0.501 0.865 0.127
O 0.002 0.887 0.824
O 0.005 0.341 0.935
O 0.006 0.060 0.184
O 0.013 0.516 0.687
O 0.044 0.414 0.320
O 0.460 0.553 0.185
O 0.491 0.918 0.321
O 0.495 0.447 0.826
O 0.498 0.664 0.575
O 0.504 0.063 0.689
O 0.511 0.783 0.935
O 0.513 0.308 0.437
O 0.548 0.174 0.070
O 0.960 0.816 0.439
O 0.991 0.205 0.575
O 0.998 0.670 0.073

Principal peaks in the range 2θ = 10–90°, by angle:
- 4.802 Å, 18.5°, I 100
- 2.549 Å, 35.2°, I 16
- 2.489 Å, 36.1°, I 13
- 2.474 Å, 36.3°, I 12
- 2.401 Å, 37.5°, I 12
- 2.127 Å, 42.5°, I 30
- 2.066 Å, 43.8°, I 27
- 2.040 Å, 44.4°, I 25
- 1.479 Å, 62.8°, I 8
- 1.201 Å, 79.9°, I 10


# FeH2SO5
Computed powder diffractogram, Cu Kα (weighted mean of Kα1 and Kα2). Input: a DFT-relaxed cell (PBE+U, the Materials Project).
Kinematic intensities with the Lorentz-polarization factor, no thermal factor.

Cell and atoms:
abc: 8.044 8.044 6.973
angles: 90.99 90.99 58.27
Element x y z (fractional)
Fe 0.125 0.125 0.375
Fe 0.376 0.374 0.125
Fe 0.626 0.624 0.875
Fe 0.875 0.875 0.625
H 0.016 0.443 0.141
H 0.059 0.483 0.360
H 0.194 0.765 0.391
H 0.235 0.806 0.609
H 0.517 0.941 0.640
H 0.557 0.984 0.859
H 0.694 0.265 0.890
H 0.735 0.306 0.110
S 0.090 0.410 0.750
S 0.163 0.837 0.000
S 0.590 0.910 0.250
S 0.661 0.339 0.500
O 0.022 0.567 0.602
O 0.111 0.389 0.250
O 0.122 0.230 0.656
O 0.129 0.018 0.094
O 0.141 0.859 0.500
O 0.231 0.680 0.149
O 0.271 0.374 0.844
O 0.320 0.769 0.851
O 0.433 0.978 0.398
O 0.480 0.373 0.406
O 0.522 0.067 0.101
O 0.611 0.889 0.750
O 0.626 0.729 0.156
O 0.627 0.520 0.594
O 0.641 0.359 0.000
O 0.729 0.182 0.649
O 0.770 0.878 0.344
O 0.818 0.271 0.351
O 0.933 0.478 0.899
O 0.982 0.871 0.906

Principal peaks in the range 2θ = 10–90°, by angle:
- 4.907 Å, 18.1°, I 39
- 4.860 Å, 18.3°, I 44
- 3.508 Å, 25.4°, I 100
- 3.457 Å, 25.8°, I 23
- 3.421 Å, 26.1°, I 34
- 3.098 Å, 28.8°, I 46
- 2.615 Å, 34.3°, I 55
- 2.604 Å, 34.4°, I 18
- 2.207 Å, 40.9°, I 21
- 1.729 Å, 53.0°, I 21


# MnTePb2O6
Computed powder diffractogram, Cu Kα (weighted mean of Kα1 and Kα2). Input: a DFT-relaxed cell (PBE+U, the Materials Project).
Kinematic intensities with the Lorentz-polarization factor, no thermal factor.

Cell and atoms:
abc: 5.793 5.793 5.793
angles: 60.00 60.00 60.00
Element x y z (fractional)
Mn 0.000 0.000 0.000
Te 0.500 0.500 0.500
Pb 0.250 0.250 0.250
Pb 0.750 0.750 0.750
O 0.261 0.261 0.739
O 0.261 0.739 0.261
O 0.261 0.739 0.739
O 0.739 0.261 0.261
O 0.739 0.261 0.739
O 0.739 0.739 0.261

Principal peaks in the range 2θ = 10–90°, by angle:
- 4.097 Å, 21.7°, I 13
- 2.897 Å, 30.9°, I 100
- 2.365 Å, 38.0°, I 13
- 2.048 Å, 44.2°, I 28
- 1.832 Å, 49.8°, I 8
- 1.672 Å, 54.9°, I 41
- 1.448 Å, 64.3°, I 18
- 1.295 Å, 73.0°, I 18
- 1.183 Å, 81.4°, I 6
- 1.095 Å, 89.5°, I 23


# Li2MoO4
Computed powder diffractogram, Cu Kα (weighted mean of Kα1 and Kα2). Input: a DFT-relaxed cell (PBE+U, the Materials Project).
Kinematic intensities with the Lorentz-polarization factor, no thermal factor.

Cell and atoms:
abc: 9.037 9.037 9.037
angles: 107.85 107.85 107.85
Element x y z (fractional)
Li 0.107 0.871 0.276
Li 0.129 0.724 0.893
Li 0.203 0.608 0.433
Li 0.276 0.107 0.871
Li 0.392 0.567 0.797
Li 0.433 0.203 0.608
Li 0.567 0.797 0.392
Li 0.608 0.433 0.203
Li 0.724 0.893 0.129
Li 0.797 0.392 0.567
Li 0.871 0.276 0.107
Li 0.893 0.129 0.724
Mo 0.055 0.232 0.464
Mo 0.232 0.464 0.055
Mo 0.464 0.055 0.232
Mo 0.536 0.945 0.768
Mo 0.768 0.536 0.945
Mo 0.945 0.768 0.536
O 0.010 0.310 0.972
O 0.028 0.990 0.690
O 0.040 0.361 0.348
O 0.074 0.751 0.421
O 0.249 0.579 0.926
O 0.278 0.317 0.616
O 0.310 0.972 0.010
O 0.317 0.616 0.278
O 0.348 0.040 0.361
O 0.361 0.348 0.040
O 0.384 0.722 0.683
O 0.421 0.074 0.751
O 0.579 0.926 0.249
O 0.616 0.278 0.317
O 0.639 0.652 0.960
O 0.652 0.960 0.639
O 0.683 0.384 0.722
O 0.690 0.028 0.990
O 0.722 0.683 0.384
O 0.751 0.421 0.074
O 0.926 0.249 0.579
O 0.960 0.639 0.652
O 0.972 0.010 0.310
O 0.990 0.690 0.028

Principal peaks in the range 2θ = 10–90°, by angle:
- 4.545 Å, 19.5°, I 32
- 4.292 Å, 20.7°, I 100
- 3.652 Å, 24.4°, I 23
- 3.412 Å, 26.1°, I 21
- 3.301 Å, 27.0°, I 15
- 2.967 Å, 30.1°, I 28
- 2.761 Å, 32.4°, I 27
- 2.245 Å, 40.2°, I 12
- 1.948 Å, 46.6°, I 13
- 1.489 Å, 62.4°, I 16


# VP4O12
Computed powder diffractogram, Cu Kα (weighted mean of Kα1 and Kα2). Input: a DFT-relaxed cell (PBE+U, the Materials Project).
Kinematic intensities with the Lorentz-polarization factor, no thermal factor.

Cell and atoms:
abc: 8.375 8.375 9.643
angles: 117.07 117.07 52.05
Element x y z (fractional)
V 0.144 0.856 0.750
V 0.856 0.144 0.250
P 0.031 0.701 0.339
P 0.299 0.969 0.161
P 0.303 0.440 0.857
P 0.440 0.303 0.357
P 0.560 0.697 0.643
P 0.697 0.560 0.143
P 0.701 0.031 0.839
P 0.969 0.299 0.661
O 0.020 0.127 0.715
O 0.045 0.750 0.513
O 0.127 0.020 0.215
O 0.140 0.361 0.771
O 0.223 0.600 0.769
O 0.235 0.497 0.285
O 0.250 0.955 0.987
O 0.337 0.501 0.032
O 0.361 0.140 0.271
O 0.400 0.777 0.731
O 0.497 0.235 0.785
O 0.499 0.663 0.468
O 0.501 0.337 0.532
O 0.503 0.765 0.215
O 0.600 0.223 0.269
O 0.639 0.860 0.729
O 0.663 0.499 0.968
O 0.750 0.045 0.013
O 0.765 0.503 0.715
O 0.777 0.400 0.231
O 0.860 0.639 0.229
O 0.873 0.980 0.785
O 0.955 0.250 0.487
O 0.980 0.873 0.285

Principal peaks in the range 2θ = 10–90°, by angle:
- 6.489 Å, 13.6°, I 30
- 5.820 Å, 15.2°, I 18
- 4.764 Å, 18.6°, I 48
- 4.151 Å, 21.4°, I 100
- 3.967 Å, 22.4°, I 18
- 3.271 Å, 27.3°, I 80
- 3.245 Å, 27.5°, I 26
- 2.897 Å, 30.9°, I 20
- 2.618 Å, 34.3°, I 19
- 1.670 Å, 55.0°, I 19